Starting from the PBE geometry in OQMD, the powder X-ray diffraction pattern of Dy2YEr2Tm2Fe2Te2 was calculated for Cu Kα (weighted mean of Kα1 and Kα2).
Intensities are scaled so that the largest is 100.

Largest 10 diffraction maxima, low angle first, 10 to 80 degrees two-theta:
24.96°, rel. 26.3
28.76°, rel. 20.7
30.60°, rel. 45.5
33.57°, rel. 84.2
34.00°, rel. 100.0
34.38°, rel. 27.9
34.72°, rel. 70.7
38.95°, rel. 21.5
47.06°, rel. 31.3
59.04°, rel. 33.5

Structure:
a b c (Å): 9.311 9.311 9.311
angles (deg): 156.06 65.61 119.94
Fractional positions:
Dy1 0.136 0.000 0.136
Dy2 0.864 0.000 0.864
Y1 0.583 0.583 0.000
Er1 0.198 0.849 0.349
Er2 0.499 0.849 0.651
Tm1 0.521 0.208 0.313
Tm2 0.895 0.208 0.687
Fe1 0.277 0.514 0.763
Fe2 0.751 0.514 0.237
Te1 0.249 0.249 0.000
Te2 0.847 0.347 0.500